Record 1
Starting from a structure optimized by DFT (GGA-PBE), the X-ray diffraction stick pattern of La7BI12 was calculated for Cu Kα.

Top 10 peaks for 10° ≤ 2θ ≤ 90°, sorted by position:
d [Å]	2θ/deg	I_rel	(hkl)
8.117	10.9	13	1 1 0
3.674	24.2	16	4 -3 1
3.334	26.7	13	1 1 3
3.178	28.1	100	3 1 2
2.251	40.1	35	2 5 0
2.243	40.2	35	4 -3 4
1.837	49.6	17	8 -6 2
1.589	58.0	12	6 2 4
1.423	65.6	13	10 -1 2
1.419	65.8	13	7 -2 6

Cell and atoms:
```
data_La7BI12
_cell_length_a 16.2337
_cell_length_b 16.2337
_cell_length_c 10.9698
_cell_angle_alpha 90.00
_cell_angle_beta 90.00
_cell_angle_gamma 120.00
_space_group_name_H-M_alt 'R -3'
_space_group_IT_number 148
_space_group_name_Hall '-R 3'
loop_
_atom_site_label
_atom_site_fract_x
_atom_site_fract_y
_atom_site_fract_z
La1 0.0000 0.0000 0.0000
La2 0.0424 0.1559 0.3547
B1 0.0000 0.0000 0.5000
I1 0.0215 0.5864 0.1625
I2 0.0510 0.1856 0.8389
```

---

Record 2
Starting from a structure optimized by DFT (GGA-PBE), the X-ray diffraction stick pattern of Rb2LaBI6 was calculated for Cu Kα.

Top 10 peaks for 10° ≤ 2θ ≤ 90°, sorted by position:
d [Å]	2θ/deg	I_rel	(hkl)
6.048	14.6	24	2 0 0
3.492	25.5	100	2 2 2
3.024	29.5	97	4 0 0
2.138	42.3	71	4 4 0
1.823	50.0	44	6 2 2
1.746	52.4	24	4 4 4
1.387	67.5	17	6 6 2
1.352	69.5	30	8 4 0
1.234	77.3	22	8 4 4
1.164	83.0	13	10 2 2

Cell and atoms:
```
data_Rb2LaBI6
_cell_length_a 12.096
_cell_length_b 12.096
_cell_length_c 12.096
_cell_angle_alpha 90.00
_cell_angle_beta 90.00
_cell_angle_gamma 90.00
_space_group_name_H-M_alt 'F m -3 m'
_space_group_IT_number 225
_space_group_name_Hall '-F 4 2 3'
loop_
_atom_site_label
_atom_site_fract_x
_atom_site_fract_y
_atom_site_fract_z
Rb1 0.250 0.250 0.250
La1 0.000 0.000 0.000
B1 0.000 0.000 0.500
I1 0.000 0.000 0.260
```